1.
For PrMgNi2O6, a crystal structure in the Materials Project, relaxed with PBE+U gives the calculated XRD peak list in this record (λ = 1.5418 Å (Cu Kα)).
Intensities are scaled so that the largest is 100.

Main lines, low angle first (10° ≤ 2θ ≤ 90°):
2theta, I_rel
20.23, 30
20.68, 31
33.75, 100
40.05, 24
48.33, 26
60.97, 23

Crystal structure
```
data_PrMgNi2O6
_chemical_formula_sum 'Pr2 Mg2 Ni4 O12'
_symmetry_space_group_name_H-M 'P 1'
_symmetry_Int_Tables_number 1
_symmetry_space_group_name_Hall 'P 1'
_cell_length_a 7.491
_cell_length_b 5.416
_cell_length_c 5.241
_cell_angle_alpha 90.00
_cell_angle_beta 90.00
_cell_angle_gamma 90.00
loop_
_atom_site_label
_atom_site_fract_x
_atom_site_fract_y
_atom_site_fract_z
Pr1 0.000 0.203 0.000
Pr2 0.500 0.797 0.500
Mg1 0.000 0.687 0.463
Mg2 0.500 0.313 0.963
Ni1 0.249 0.750 0.989
Ni2 0.251 0.250 0.489
Ni3 0.749 0.250 0.489
Ni4 0.751 0.750 0.989
O1 0.000 0.302 0.565
O2 0.000 0.768 0.860
O3 0.193 0.946 0.299
O4 0.194 0.482 0.218
O5 0.306 0.518 0.718
O6 0.307 0.054 0.799
O7 0.500 0.232 0.360
O8 0.500 0.698 0.065
O9 0.693 0.054 0.799
O10 0.694 0.518 0.718
O11 0.806 0.482 0.218
O12 0.807 0.946 0.299
```

2.
For Ba2FeO4, a crystal structure in the Materials Project, relaxed with PBE+U gives the calculated XRD peak list in this record (λ = 1.5418 Å (Cu Kα)).
Intensities are scaled so that the largest is 100.

Main lines, low angle first (10° ≤ 2θ ≤ 90°):
2theta, I_rel
25.94, 23
27.11, 26
28.15, 38
28.72, 100
28.82, 49
30.64, 29

Crystal structure
```
data_Ba2FeO4
_chemical_formula_sum 'Ba8 Fe4 O16'
_symmetry_space_group_name_H-M 'P 1'
_symmetry_Int_Tables_number 1
_symmetry_space_group_name_Hall 'P 1'
_cell_length_a 6.235
_cell_length_b 7.750
_cell_length_c 11.670
_cell_angle_alpha 90.00
_cell_angle_beta 117.91
_cell_angle_gamma 90.00
loop_
_atom_site_label
_atom_site_fract_x
_atom_site_fract_y
_atom_site_fract_z
Ba1 0.023 0.006 0.303
Ba2 0.023 0.494 0.803
Ba3 0.319 0.655 0.575
Ba4 0.319 0.845 0.075
Ba5 0.681 0.155 0.925
Ba6 0.681 0.345 0.425
Ba7 0.977 0.506 0.197
Ba8 0.977 0.994 0.697
Fe1 0.341 0.221 0.583
Fe2 0.341 0.279 0.083
Fe3 0.659 0.721 0.917
Fe4 0.659 0.779 0.417
O1 0.131 0.183 0.132
O2 0.131 0.317 0.632
O3 0.245 0.169 0.927
O4 0.245 0.331 0.427
O5 0.301 0.507 0.096
O6 0.301 0.993 0.596
O7 0.334 0.744 0.337
O8 0.334 0.756 0.837
O9 0.666 0.244 0.163
O10 0.666 0.256 0.663
O11 0.699 0.007 0.404
O12 0.699 0.493 0.904
O13 0.755 0.669 0.573
O14 0.755 0.831 0.073
O15 0.869 0.683 0.368
O16 0.869 0.817 0.868
```

3.
For RbMg6WO8, a crystal structure in the Materials Project, relaxed with PBE+U gives the calculated XRD peak list in this record (λ = 1.5418 Å (Cu Kα)).
Intensities are scaled so that the largest is 100.

Main lines, low angle first (10° ≤ 2θ ≤ 90°):
2theta, I_rel
20.02, 44
29.36, 68
34.29, 81
39.35, 100
40.69, 67
57.89, 65

Crystal structure
```
data_RbMg6WO8
_chemical_formula_sum 'Rb1 Mg6 W1 O8'
_symmetry_space_group_name_H-M 'P 1'
_symmetry_Int_Tables_number 1
_symmetry_space_group_name_Hall 'P 1'
_cell_length_a 4.580
_cell_length_b 4.580
_cell_length_c 8.871
_cell_angle_alpha 90.00
_cell_angle_beta 90.00
_cell_angle_gamma 90.00
loop_
_atom_site_label
_atom_site_fract_x
_atom_site_fract_y
_atom_site_fract_z
Rb1 0.000 0.000 0.000
Mg1 0.000 0.000 0.500
Mg2 0.000 0.500 0.264
Mg3 0.000 0.500 0.736
Mg4 0.500 0.000 0.264
Mg5 0.500 0.000 0.736
Mg6 0.500 0.500 0.500
W1 0.500 0.500 0.000
O1 0.000 0.000 0.283
O2 0.000 0.000 0.717
O3 0.000 0.500 0.000
O4 0.000 0.500 0.500
O5 0.500 0.000 0.000
O6 0.500 0.000 0.500
O7 0.500 0.500 0.252
O8 0.500 0.500 0.748
```

4.
For NaFe9Si6B3H2O31, a crystal structure in the Materials Project, relaxed with PBE+U gives the calculated XRD peak list in this record (λ = 1.5418 Å (Cu Kα)).
Intensities are scaled so that the largest is 100.

Main lines, low angle first (10° ≤ 2θ ≤ 90°):
2theta, I_rel
13.20, 100
18.75, 54
21.68, 67
24.22, 56
28.75, 48
33.74, 86

Crystal structure
```
data_NaFe9Si6B3H2O31
_chemical_formula_sum 'Na1 Fe9 Si6 B3 H2 O31'
_symmetry_space_group_name_H-M 'P 1'
_symmetry_Int_Tables_number 1
_symmetry_space_group_name_Hall 'P 1'
_cell_length_a 9.798
_cell_length_b 9.798
_cell_length_c 7.608
_cell_angle_alpha 105.13
_cell_angle_beta 105.13
_cell_angle_gamma 113.31
loop_
_atom_site_label
_atom_site_fract_x
_atom_site_fract_y
_atom_site_fract_z
Na1 0.000 0.000 0.000
Fe1 0.007 0.182 0.651
Fe2 0.182 0.007 0.651
Fe3 0.231 0.565 0.889
Fe4 0.336 0.777 0.659
Fe5 0.452 0.665 0.333
Fe6 0.565 0.231 0.889
Fe7 0.665 0.452 0.333
Fe8 0.777 0.336 0.659
Fe9 0.814 0.814 0.471
Si1 0.190 0.380 0.425
Si2 0.195 0.817 0.238
Si3 0.380 0.190 0.425
Si4 0.629 0.815 0.049
Si5 0.815 0.629 0.049
Si6 0.817 0.195 0.238
B1 0.003 0.676 0.672
B2 0.330 0.330 0.999
B3 0.676 0.003 0.672
H1 0.004 0.373 0.972
H2 0.373 0.004 0.972
O1 0.001 0.819 0.685
O2 0.003 0.276 0.243
O3 0.004 0.389 0.850
O4 0.005 0.728 0.074
O5 0.150 0.677 0.738
O6 0.180 0.381 0.636
O7 0.186 0.186 0.874
O8 0.206 0.826 0.459
O9 0.276 0.003 0.243
O10 0.278 0.278 0.351
O11 0.285 0.565 0.443
O12 0.286 0.721 0.161
O13 0.331 0.476 0.062
O14 0.381 0.180 0.636
O15 0.389 0.004 0.850
O16 0.441 0.724 0.882
O17 0.476 0.331 0.062
O18 0.529 0.860 0.591
O19 0.565 0.285 0.443
O20 0.619 0.619 0.456
O21 0.627 0.808 0.260
O22 0.677 0.150 0.738
O23 0.721 0.286 0.161
O24 0.724 0.441 0.882
O25 0.728 0.005 0.074
O26 0.734 0.734 0.975
O27 0.808 0.627 0.260
O28 0.819 0.001 0.685
O29 0.826 0.206 0.459
O30 0.860 0.529 0.591
O31 0.992 0.992 0.452
```

5.
For MgMnB2O5, a crystal structure in the Materials Project, relaxed with PBE+U gives the calculated XRD peak list in this record (λ = 1.5418 Å (Cu Kα)).
Intensities are scaled so that the largest is 100.

Main lines, low angle first (10° ≤ 2θ ≤ 90°):
2theta, I_rel
19.46, 45
21.13, 37
29.50, 44
33.65, 100
34.15, 54
44.28, 41

Crystal structure
```
data_MgMnB2O5
_chemical_formula_sum 'Mg2 Mn2 B4 O10'
_symmetry_space_group_name_H-M 'P 1'
_symmetry_Int_Tables_number 1
_symmetry_space_group_name_Hall 'P 1'
_cell_length_a 3.232
_cell_length_b 6.255
_cell_length_c 9.507
_cell_angle_alpha 104.46
_cell_angle_beta 90.39
_cell_angle_gamma 91.80
loop_
_atom_site_label
_atom_site_fract_x
_atom_site_fract_y
_atom_site_fract_z
Mg1 0.233 0.369 0.099
Mg2 0.767 0.631 0.901
Mn1 0.256 0.784 0.638
Mn2 0.744 0.216 0.362
B1 0.313 0.321 0.654
B2 0.329 0.878 0.165
B3 0.671 0.122 0.835
B4 0.687 0.679 0.346
O1 0.221 0.090 0.175
O2 0.242 0.282 0.509
O3 0.263 0.522 0.751
O4 0.263 0.696 0.052
O5 0.460 0.142 0.705
O6 0.540 0.858 0.295
O7 0.737 0.304 0.948
O8 0.737 0.478 0.249
O9 0.758 0.718 0.491
O10 0.779 0.910 0.825
```

6.
For LiTiFeO4, a crystal structure in the Materials Project, relaxed with PBE+U gives the calculated XRD peak list in this record (λ = 1.5418 Å (Cu Kα)).
Intensities are scaled so that the largest is 100.

Main lines, low angle first (10° ≤ 2θ ≤ 90°):
2theta, I_rel
24.03, 88
24.68, 100
37.39, 22
38.74, 42
44.90, 37
46.40, 33

Crystal structure
```
data_LiTiFeO4
_chemical_formula_sum 'Li1 Ti1 Fe1 O4'
_symmetry_space_group_name_H-M 'P 1'
_symmetry_Int_Tables_number 1
_symmetry_space_group_name_Hall 'P 1'
_cell_length_a 5.433
_cell_length_b 5.433
_cell_length_c 5.433
_cell_angle_alpha 137.78
_cell_angle_beta 136.38
_cell_angle_gamma 62.33
loop_
_atom_site_label
_atom_site_fract_x
_atom_site_fract_y
_atom_site_fract_z
Li1 0.000 0.000 0.000
Ti1 0.559 0.559 0.000
Fe1 0.298 0.798 0.500
O1 0.080 0.580 0.500
O2 0.351 0.351 0.000
O3 0.526 0.026 0.500
O4 0.769 0.769 0.000
```

7.
For LiNiP4O12, a crystal structure in the Materials Project, relaxed with PBE+U gives the calculated XRD peak list in this record (λ = 1.5418 Å (Cu Kα)).
Intensities are scaled so that the largest is 100.

Main lines, low angle first (10° ≤ 2θ ≤ 90°):
2theta, I_rel
11.63, 100
14.89, 33
17.87, 55
23.32, 37
24.18, 75
26.34, 44

Crystal structure
```
data_LiNiP4O12
_chemical_formula_sum 'Li2 Ni2 P8 O24'
_symmetry_space_group_name_H-M 'P 1'
_symmetry_Int_Tables_number 1
_symmetry_space_group_name_Hall 'P 1'
_cell_length_a 8.248
_cell_length_b 8.248
_cell_length_c 7.818
_cell_angle_alpha 97.12
_cell_angle_beta 97.12
_cell_angle_gamma 110.26
loop_
_atom_site_label
_atom_site_fract_x
_atom_site_fract_y
_atom_site_fract_z
Li1 0.154 0.846 0.500
Li2 0.846 0.154 0.000
Ni1 0.215 0.473 0.014
Ni2 0.473 0.215 0.514
P1 0.112 0.768 0.877
P2 0.136 0.294 0.594
P3 0.294 0.136 0.094
P4 0.397 0.553 0.441
P5 0.553 0.397 0.941
P6 0.588 0.923 0.625
P7 0.768 0.112 0.377
P8 0.923 0.588 0.125
O1 0.055 0.737 0.686
O2 0.073 0.325 0.762
O3 0.187 0.256 0.094
O4 0.191 0.977 0.938
O5 0.223 0.472 0.523
O6 0.247 0.698 0.958
O7 0.256 0.187 0.594
O8 0.325 0.073 0.262
O9 0.356 0.615 0.275
O10 0.427 0.494 0.929
O11 0.435 0.982 0.566
O12 0.472 0.223 0.023
O13 0.494 0.427 0.429
O14 0.505 0.714 0.598
O15 0.615 0.356 0.775
O16 0.690 0.994 0.804
O17 0.698 0.247 0.458
O18 0.712 0.947 0.478
O19 0.714 0.505 0.098
O20 0.737 0.055 0.186
O21 0.947 0.712 0.978
O22 0.977 0.191 0.438
O23 0.982 0.435 0.066
O24 0.994 0.690 0.304
```

8.
For MgMn2Sb4O12, a crystal structure in the Materials Project, relaxed with PBE+U gives the calculated XRD peak list in this record (λ = 1.5418 Å (Cu Kα)).
Intensities are scaled so that the largest is 100.

Main lines, low angle first (10° ≤ 2θ ≤ 90°):
2theta, I_rel
17.22, 30
21.45, 100
26.84, 71
33.42, 57
33.87, 32
34.37, 27

Crystal structure
```
data_MgMn2Sb4O12
_chemical_formula_sum 'Mg1 Mn2 Sb4 O12'
_symmetry_space_group_name_H-M 'P 1'
_symmetry_Int_Tables_number 1
_symmetry_space_group_name_Hall 'P 1'
_cell_length_a 6.170
_cell_length_b 6.184
_cell_length_c 7.306
_cell_angle_alpha 73.26
_cell_angle_beta 74.62
_cell_angle_gamma 84.27
loop_
_atom_site_label
_atom_site_fract_x
_atom_site_fract_y
_atom_site_fract_z
Mg1 0.000 0.000 0.000
Mn1 0.057 0.430 0.501
Mn2 0.592 0.259 0.832
Sb1 0.015 0.493 0.998
Sb2 0.335 0.843 0.660
Sb3 0.427 0.760 0.164
Sb4 0.678 0.164 0.352
O1 0.001 0.810 0.813
O2 0.014 0.178 0.194
O3 0.066 0.648 0.188
O4 0.271 0.703 0.465
O5 0.336 0.163 0.469
O6 0.350 0.526 0.855
O7 0.354 0.994 0.870
O8 0.645 0.031 0.128
O9 0.662 0.849 0.530
O10 0.676 0.474 0.147
O11 0.748 0.298 0.538
O12 0.950 0.333 0.821
```

9.
For Sr5Cr3ClO12, a crystal structure in the Materials Project, relaxed with PBE+U gives the calculated XRD peak list in this record (λ = 1.5418 Å (Cu Kα)).
Intensities are scaled so that the largest is 100.

Main lines, low angle first (10° ≤ 2θ ≤ 90°):
2theta, I_rel
29.11, 100
29.79, 89
30.03, 61
42.81, 41
45.66, 30
58.94, 25

Crystal structure
```
data_Sr5Cr3ClO12
_chemical_formula_sum 'Sr10 Cr6 Cl2 O24'
_symmetry_space_group_name_H-M 'P 1'
_symmetry_Int_Tables_number 1
_symmetry_space_group_name_Hall 'P 1'
_cell_length_a 10.307
_cell_length_b 10.307
_cell_length_c 7.375
_cell_angle_alpha 90.00
_cell_angle_beta 90.00
_cell_angle_gamma 120.00
loop_
_atom_site_label
_atom_site_fract_x
_atom_site_fract_y
_atom_site_fract_z
Sr1 0.001 0.748 0.250
Sr2 0.252 0.253 0.250
Sr3 0.253 0.001 0.750
Sr4 0.333 0.667 0.001
Sr5 0.333 0.667 0.499
Sr6 0.667 0.333 0.501
Sr7 0.667 0.333 0.999
Sr8 0.747 0.999 0.250
Sr9 0.748 0.747 0.750
Sr10 0.999 0.252 0.750
Cr1 0.032 0.406 0.250
Cr2 0.374 0.968 0.250
Cr3 0.406 0.374 0.750
Cr4 0.594 0.626 0.250
Cr5 0.626 0.032 0.750
Cr6 0.968 0.594 0.750
Cl1 0.000 0.000 0.000
Cl2 0.000 0.000 0.500
O1 0.097 0.357 0.058
O2 0.097 0.357 0.442
O3 0.131 0.600 0.250
O4 0.161 0.680 0.750
O5 0.260 0.903 0.058
O6 0.260 0.903 0.442
O7 0.320 0.481 0.750
O8 0.357 0.260 0.558
O9 0.357 0.260 0.942
O10 0.400 0.531 0.250
O11 0.469 0.869 0.250
O12 0.481 0.161 0.250
O13 0.519 0.839 0.750
O14 0.531 0.131 0.750
O15 0.600 0.469 0.750
O16 0.643 0.740 0.058
O17 0.643 0.740 0.442
O18 0.680 0.519 0.250
O19 0.740 0.097 0.558
O20 0.740 0.097 0.942
O21 0.839 0.320 0.250
O22 0.869 0.400 0.750
O23 0.903 0.643 0.558
O24 0.903 0.643 0.942
```